Entry 1:
For InSe3, a structure optimized by DFT (PBE) gives the theoretical powder X-ray diffraction pattern in this record (a wavelength of 1.5418 Å).
Neutral-atom scattering factors, no anomalous dispersion.

Peak list (6 most intense, 2θ = 10–80°, in order of rising 2θ)
- 21.82 deg, intensity 5
- 31.05 deg, intensity 100
- 44.49 deg, intensity 73
- 55.24 deg, intensity 25
- 64.74 deg, intensity 12
- 73.53 deg, intensity 32

Crystal structure
```
InSe3
1.0
5.7601 0.0000 0.0000
0.0000 5.7601 0.0000
0.0000 0.0000 5.7601
In Se
2 6
direct
0.0000 0.0000 0.0000 In
0.5000 0.5000 0.5000 In
0.0000 0.0000 0.5000 Se
0.0000 0.5000 0.0000 Se
0.0000 0.5000 0.5000 Se
0.5000 0.0000 0.0000 Se
0.5000 0.0000 0.5000 Se
0.5000 0.5000 0.0000 Se
```

Entry 2:
For InSiSe2, a structure optimized by DFT (PBE) gives the theoretical powder X-ray diffraction pattern in this record (a wavelength of 1.5418 Å).
Neutral-atom scattering factors, no anomalous dispersion.

Peak list (6 most intense, 2θ = 10–80°, in order of rising 2θ)
- 27.48 deg, intensity 44
- 30.12 deg, intensity 62
- 30.97 deg, intensity 100
- 35.21 deg, intensity 78
- 41.25 deg, intensity 51
- 62.96 deg, intensity 25

Crystal structure
```
InSiSe2
1.0
11.5424 0.0000 0.0000
0.0000 3.4355 0.0000
-3.0351 0.0000 5.0929
In Si Se
2 2 4
direct
0.0000 0.0000 0.0000 In
0.5000 0.5000 0.0000 In
0.2839 0.0000 0.5493 Si
0.7839 0.5000 0.5493 Si
0.1574 0.5000 0.6176 Se
0.3458 0.5000 0.3424 Se
0.6574 0.0000 0.6176 Se
0.8458 0.0000 0.3424 Se
```

Entry 3:
For Sm5InSe8, a structure optimized by DFT (PBE) gives the theoretical powder X-ray diffraction pattern in this record (a wavelength of 1.5418 Å).
Neutral-atom scattering factors, no anomalous dispersion.

Peak list (6 most intense, 2θ = 10–80°, in order of rising 2θ)
- 20.43 deg, intensity 23
- 24.00 deg, intensity 87
- 29.05 deg, intensity 56
- 38.03 deg, intensity 52
- 41.55 deg, intensity 100
- 75.80 deg, intensity 30

Crystal structure
```
Sm5InSe8
1.0
0.0000 6.1478 6.1478
6.1478 0.0000 6.1478
6.1478 6.1478 0.0000
Sm In Se
5 1 8
direct
0.0000 0.0000 0.0000 Sm
0.3792 0.3792 0.3792 Sm
0.3792 0.3792 0.8624 Sm
0.3792 0.8624 0.3792 Sm
0.8624 0.3792 0.3792 Sm
0.7500 0.7500 0.7500 In
0.1328 0.1328 0.1328 Se
0.1328 0.1328 0.6016 Se
0.1328 0.6016 0.1328 Se
0.1621 0.6126 0.6126 Se
0.6016 0.1328 0.1328 Se
0.6126 0.1621 0.6126 Se
0.6126 0.6126 0.1621 Se
0.6126 0.6126 0.6126 Se
```

Entry 4:
For SmInSn2Se5, a structure optimized by DFT (PBE) gives the theoretical powder X-ray diffraction pattern in this record (a wavelength of 1.5418 Å).
Neutral-atom scattering factors, no anomalous dispersion.

Peak list (6 most intense, 2θ = 10–80°, in order of rising 2θ)
- 25.65 deg, intensity 26
- 28.61 deg, intensity 44
- 29.68 deg, intensity 100
- 37.65 deg, intensity 33
- 43.78 deg, intensity 27
- 44.38 deg, intensity 25

Crystal structure
```
SmInSn2Se5
1.0
2.0679 -9.6212 0.0000
2.0679 9.6212 0.0000
0.0000 0.0000 13.5230
Sm In Sn Se
2 2 4 10
direct
0.1947 0.8053 0.5000 Sm
0.8053 0.1947 0.0000 Sm
0.4562 0.5438 0.9117 In
0.5438 0.4562 0.4117 In
0.1316 0.8684 0.8067 Sn
0.1521 0.8479 0.1439 Sn
0.8479 0.1521 0.6439 Sn
0.8684 0.1316 0.3067 Sn
0.0378 0.9622 0.5317 Se
0.2968 0.7032 0.1554 Se
0.3235 0.6765 0.8492 Se
0.3452 0.6548 0.4997 Se
0.4655 0.5345 0.2572 Se
0.5345 0.4655 0.7572 Se
0.6548 0.3452 0.9997 Se
0.6765 0.3235 0.3492 Se
0.7032 0.2968 0.6554 Se
0.9622 0.0378 0.0317 Se
```

Entry 5:
For SmInTeSe, a structure optimized by DFT (PBE) gives the theoretical powder X-ray diffraction pattern in this record (a wavelength of 1.5418 Å).
Neutral-atom scattering factors, no anomalous dispersion.

Peak list (6 most intense, 2θ = 10–80°, in order of rising 2θ)
- 24.78 deg, intensity 29
- 27.86 deg, intensity 22
- 29.98 deg, intensity 100
- 35.06 deg, intensity 37
- 41.62 deg, intensity 52
- 52.14 deg, intensity 21

Crystal structure
```
SmInTeSe
1.0
4.3395 0.0000 0.0000
-2.1698 3.7581 0.0000
0.0000 0.0000 24.4707
Sm In Te Se
3 3 3 3
direct
0.0000 0.0000 0.0000 Sm
0.3333 0.6667 0.6667 Sm
0.6667 0.3333 0.3333 Sm
0.0000 0.0000 0.1720 In
0.3333 0.6667 0.8387 In
0.6667 0.3333 0.5054 In
0.0000 0.0000 0.4142 Te
0.3333 0.6667 0.0809 Te
0.6667 0.3333 0.7476 Te
0.0000 0.0000 0.6060 Se
0.3333 0.6667 0.2727 Se
0.6667 0.3333 0.9394 Se
```

Entry 6:
For SmYIn2Se4, a structure optimized by DFT (PBE) gives the theoretical powder X-ray diffraction pattern in this record (a wavelength of 1.5418 Å).
Neutral-atom scattering factors, no anomalous dispersion.

Peak list (6 most intense, 2θ = 10–80°, in order of rising 2θ)
- 29.00 deg, intensity 100
- 39.77 deg, intensity 37
- 43.13 deg, intensity 35
- 52.81 deg, intensity 18
- 65.68 deg, intensity 13
- 70.47 deg, intensity 15

Crystal structure
```
SmYIn2Se4
1.0
7.2653 0.0000 0.0000
0.0000 4.1953 0.0000
-2.4204 0.0000 7.7329
Sm Y In Se
1 1 2 4
direct
0.0000 0.0000 0.0000 Sm
0.5000 0.5000 0.0000 Y
0.0000 0.5000 0.5000 In
0.5000 0.0000 0.5000 In
0.2417 0.5000 0.2122 Se
0.2678 0.0000 0.7901 Se
0.7322 0.0000 0.2099 Se
0.7583 0.5000 0.7878 Se
```

Entry 7:
For InSnSe4, a structure optimized by DFT (PBE) gives the theoretical powder X-ray diffraction pattern in this record (a wavelength of 1.5418 Å).
Neutral-atom scattering factors, no anomalous dispersion.

Peak list (6 most intense, 2θ = 10–80°, in order of rising 2θ)
- 15.80 deg, intensity 29
- 29.47 deg, intensity 100
- 32.20 deg, intensity 46
- 40.02 deg, intensity 20
- 42.99 deg, intensity 34
- 45.40 deg, intensity 31

Crystal structure
```
InSnSe4
1.0
12.4576 0.0000 0.0000
0.0000 3.9666 0.0000
-3.0438 0.0000 6.3103
In Sn Se
2 2 8
direct
0.0000 0.0000 0.0000 In
0.5000 0.5000 0.0000 In
0.0000 0.5000 0.5000 Sn
0.5000 0.0000 0.5000 Sn
0.1362 0.5000 0.2815 Se
0.1397 0.0000 0.7767 Se
0.3603 0.5000 0.2233 Se
0.3638 0.0000 0.7185 Se
0.6362 0.0000 0.2815 Se
0.6397 0.5000 0.7767 Se
0.8603 0.0000 0.2233 Se
0.8638 0.5000 0.7185 Se
```

Entry 8:
For In4SnSe7, a structure optimized by DFT (PBE) gives the theoretical powder X-ray diffraction pattern in this record (a wavelength of 1.5418 Å).
Neutral-atom scattering factors, no anomalous dispersion.

Peak list (6 most intense, 2θ = 10–80°, in order of rising 2θ)
- 13.45 deg, intensity 53
- 25.08 deg, intensity 100
- 26.65 deg, intensity 91
- 36.91 deg, intensity 46
- 43.80 deg, intensity 55
- 48.18 deg, intensity 49

Crystal structure
```
In4SnSe7
1.0
16.3363 0.0000 0.0000
0.0000 7.1908 0.0000
0.0000 0.0000 6.6906
In Sn Se
8 2 14
direct
0.1235 0.1585 0.0000 In
0.2456 0.6778 0.9977 In
0.2544 0.3222 0.4977 In
0.3765 0.8415 0.5000 In
0.6235 0.8415 0.5000 In
0.7456 0.3222 0.4977 In
0.7544 0.6778 0.9977 In
0.8765 0.1585 0.0000 In
0.0000 0.4384 0.4712 Sn
0.5000 0.5616 0.9712 Sn
0.0000 0.3762 0.8933 Se
0.1142 0.1593 0.4005 Se
0.1143 0.8258 0.8644 Se
0.2358 0.6784 0.3978 Se
0.2642 0.3216 0.8978 Se
0.3857 0.1742 0.3644 Se
0.3858 0.8407 0.9005 Se
0.5000 0.6238 0.3933 Se
0.6143 0.1742 0.3644 Se
0.6142 0.8407 0.9005 Se
0.7358 0.3216 0.8978 Se
0.7642 0.6784 0.3978 Se
0.8858 0.1593 0.4005 Se
0.8857 0.8258 0.8644 Se
```

Entry 9:
For InSn3Se4, a structure optimized by DFT (PBE) gives the theoretical powder X-ray diffraction pattern in this record (a wavelength of 1.5418 Å).
Neutral-atom scattering factors, no anomalous dispersion.

Peak list (6 most intense, 2θ = 10–80°, in order of rising 2θ)
- 29.26 deg, intensity 52
- 29.80 deg, intensity 100
- 42.25 deg, intensity 77
- 42.65 deg, intensity 38
- 52.56 deg, intensity 40
- 77.81 deg, intensity 26

Crystal structure
```
InSn3Se4
1.0
4.2398 0.0000 0.0000
0.0000 4.2398 0.0000
0.0000 0.0000 12.2098
In Sn Se
1 3 4
direct
0.0000 0.0000 0.0000 In
0.0000 0.0000 0.4988 Sn
0.5000 0.5000 0.2506 Sn
0.5000 0.5000 0.7519 Sn
0.0000 0.0000 0.2457 Se
0.0000 0.0000 0.7422 Se
0.5000 0.5000 0.4909 Se
0.5000 0.5000 0.9923 Se
```

Entry 10:
For Tl3In3SnSe8, a structure optimized by DFT (PBE) gives the theoretical powder X-ray diffraction pattern in this record (a wavelength of 1.5418 Å).
Neutral-atom scattering factors, no anomalous dispersion.

Peak list (6 most intense, 2θ = 10–80°, in order of rising 2θ)
- 21.56 deg, intensity 30
- 27.35 deg, intensity 100
- 30.67 deg, intensity 44
- 33.59 deg, intensity 84
- 34.35 deg, intensity 22
- 47.30 deg, intensity 36

Crystal structure
```
Tl3In3SnSe8
1.0
5.4027 -4.1161 0.0000
5.4027 4.1161 0.0000
-1.7831 0.0000 10.6907
Tl In Sn Se
3 3 1 8
direct
0.0000 0.0000 0.0000 Tl
0.3313 0.1962 0.2545 Tl
0.8038 0.6687 0.7455 Tl
0.4603 0.2218 0.7219 In
0.5028 0.4972 0.0000 In
0.7782 0.5397 0.2781 In
0.0046 0.9954 0.5000 Sn
0.0097 0.6099 0.4803 Se
0.3295 0.6168 0.7816 Se
0.3832 0.6705 0.2184 Se
0.3901 0.9903 0.5197 Se
0.4980 0.1016 0.9476 Se
0.8234 0.1283 0.2930 Se
0.8717 0.1766 0.7070 Se
0.8984 0.5020 0.0524 Se
```

Entry 11:
For SrIn2Se, a structure optimized by DFT (PBE) gives the theoretical powder X-ray diffraction pattern in this record (a wavelength of 1.5418 Å).
Neutral-atom scattering factors, no anomalous dispersion.

Peak list (6 most intense, 2θ = 10–80°, in order of rising 2θ)
- 28.28 deg, intensity 68
- 28.81 deg, intensity 67
- 32.11 deg, intensity 100
- 40.81 deg, intensity 51
- 43.68 deg, intensity 82
- 61.02 deg, intensity 30

Crystal structure
```
SrIn2Se
1.0
6.1974 0.0000 0.0000
0.0000 6.2146 0.0000
0.0000 0.0000 12.6221
Sr In Se
4 8 4
direct
0.0000 0.0000 0.0000 Sr
0.0000 0.5000 0.5000 Sr
0.5000 0.0000 0.5000 Sr
0.5000 0.5000 0.0000 Sr
0.0000 0.2500 0.2500 In
0.0000 0.2500 0.7500 In
0.0000 0.7500 0.2500 In
0.0000 0.7500 0.7500 In
0.5000 0.2500 0.2500 In
0.5000 0.2500 0.7500 In
0.5000 0.7500 0.2500 In
0.5000 0.7500 0.7500 In
0.0000 0.0000 0.5000 Se
0.0000 0.5000 0.0000 Se
0.5000 0.0000 0.0000 Se
0.5000 0.5000 0.5000 Se
```

Entry 12:
For SrIn2Se, a structure optimized by DFT (PBE) gives the theoretical powder X-ray diffraction pattern in this record (a wavelength of 1.5418 Å).
Neutral-atom scattering factors, no anomalous dispersion.

Peak list (6 most intense, 2θ = 10–80°, in order of rising 2θ)
- 28.00 deg, intensity 47
- 29.86 deg, intensity 100
- 36.03 deg, intensity 58
- 39.61 deg, intensity 23
- 46.24 deg, intensity 18
- 49.20 deg, intensity 19

Crystal structure
```
SrIn2Se
1.0
4.5506 0.0000 0.0000
0.0000 4.1787 0.0000
-2.2689 0.0000 6.3742
Sr In Se
1 2 1
direct
0.0000 0.0000 0.0000 Sr
0.2760 0.5000 0.5434 In
0.7253 0.0000 0.4442 In
0.5010 0.5000 0.0022 Se
```

Entry 13:
For SrIn2Se4, a structure optimized by DFT (PBE) gives the theoretical powder X-ray diffraction pattern in this record (a wavelength of 1.5418 Å).
Neutral-atom scattering factors, no anomalous dispersion.

Peak list (6 most intense, 2θ = 10–80°, in order of rising 2θ)
- 15.80 deg, intensity 29
- 15.99 deg, intensity 26
- 28.36 deg, intensity 32
- 28.58 deg, intensity 34
- 31.90 deg, intensity 25
- 34.70 deg, intensity 100

Crystal structure
```
SrIn2Se4
1.0
3.4227 -5.5441 0.0000
3.4227 5.5441 0.0000
0.0000 0.0000 11.2204
Sr In Se
2 4 8
direct
0.0000 0.0000 0.2500 Sr
0.0000 0.0000 0.7500 Sr
0.2701 0.7238 0.0000 In
0.2762 0.7299 0.5000 In
0.7238 0.2701 0.5000 In
0.7299 0.2762 0.0000 In
0.0000 0.5000 0.1793 Se
0.0000 0.5000 0.8207 Se
0.1454 0.2893 0.5000 Se
0.2893 0.1454 0.0000 Se
0.5000 0.0000 0.3207 Se
0.5000 0.0000 0.6793 Se
0.7107 0.8546 0.0000 Se
0.8546 0.7107 0.5000 Se
```

Entry 14:
For SrIn2Se, a structure optimized by DFT (PBE) gives the theoretical powder X-ray diffraction pattern in this record (a wavelength of 1.5418 Å).
Neutral-atom scattering factors, no anomalous dispersion.

Peak list (6 most intense, 2θ = 10–80°, in order of rising 2θ)
- 28.31 deg, intensity 100
- 37.87 deg, intensity 39
- 42.92 deg, intensity 33
- 52.21 deg, intensity 18
- 62.67 deg, intensity 13
- 69.82 deg, intensity 15

Crystal structure
```
SrIn2Se
1.0
4.2144 0.0000 0.0000
-2.1072 3.6498 0.0000
0.0000 0.0000 25.0307
Sr In Se
3 6 3
direct
0.0000 0.0000 0.0000 Sr
0.3333 0.6667 0.6667 Sr
0.6667 0.3333 0.3333 Sr
0.0000 0.0000 0.5187 In
0.0000 0.0000 0.7744 In
0.3333 0.6667 0.1854 In
0.3333 0.6667 0.4410 In
0.6667 0.3333 0.1077 In
0.6667 0.3333 0.8521 In
0.0000 0.0000 0.2623 Se
0.3333 0.6667 0.9290 Se
0.6667 0.3333 0.5956 Se
```